The following is a computed powder diffraction line list of Tl2Cd13. It was derived from a cell relaxed with PBE, using λ = 1.5418 Å (Cu Kα).
No peak broadening, texture or thermal motion is included.

```
Tl2Cd13
1.0
3.871 2.235 8.462
-3.871 2.235 8.462
0.000 -4.470 8.462
Tl Cd
2 13
direct
0.142 0.142 0.142
0.858 0.858 0.858
0.000 0.000 0.000
0.118 0.118 0.508
0.118 0.508 0.118
0.250 0.250 0.627
0.250 0.627 0.250
0.373 0.750 0.750
0.492 0.882 0.882
0.508 0.118 0.118
0.627 0.250 0.250
0.750 0.373 0.750
0.750 0.750 0.373
0.882 0.492 0.882
0.882 0.882 0.492
```

Top 6 peaks for 2θ from 15° to 90°, by intensity:
- 35.6 deg, d = 2.522 Å, intensity 100
- 36.5 deg, d = 2.462 Å, intensity 93
- 31.2 deg, d = 2.868 Å, intensity 61
- 45.9 deg, d = 1.976 Å, intensity 33
- 67.7 deg, d = 1.384 Å, intensity 33
- 31.3 deg, d = 2.856 Å, intensity 28